Computed XRD peak list of ScP for Cu Kα (λ = 1.5418 Å), from a DFT-relaxed cell (PBE, the Materials Project).

Crystal structure
a b c (Å): 3.279 3.279 3.279
angles (deg): 90.00 90.00 90.00
Space group Pm-3m (No. 221)
One atom of each set of equivalent atoms:
Sc: 0.000 0.000 0.000 (multiplicity 1)
P: 0.500 0.500 0.500 (multiplicity 1)

Principal peaks in the range 10 to 80 degrees two-theta, most intense first:
2theta  I/Imax
38.8  100
70.3  30
56.1  16
27.2  4
63.4  1
48.1  1

---

Computed XRD peak list of PmCd3 for Cu Kα (λ = 1.5418 Å), from a DFT-relaxed cell (PBE, the Materials Project).

Crystal structure
a b c (Å): 6.7587 6.7587 5.0526
angles (deg): 90.00 90.00 120.00
Space group P6_3/mmc (No. 194)
One atom of each set of equivalent atoms:
Pm: 0.3333 0.6667 0.2500 (multiplicity 2)
Cd: 0.1613 0.3226 0.7500 (multiplicity 6)

Principal peaks in the range 10 to 80 degrees two-theta, most intense first:
2theta  I/Imax
35.5  100
66.6  28
30.5  20
54.3  15
63.8  14
47.5  12
75.0  3
63.6  2

---

Computed XRD peak list of Ti13Pt42 for Cu Kα (λ = 1.5418 Å), from a DFT-relaxed cell (PBE, the Materials Project).

Crystal structure
a b c (Å): 10.868 11.790 11.986
angles (deg): 90.75 90.14 94.77
Space group P-1 (No. 2)
One atom of each set of equivalent atoms:
Ti: 0.000 0.000 0.000 (multiplicity 1)
Ti: 0.004 0.755 0.956 (multiplicity 2)
Ti: 0.034 0.069 0.227 (multiplicity 2)
Ti: 0.103 0.152 0.833 (multiplicity 2)
Ti: 0.167 0.875 0.128 (multiplicity 2)
Ti: 0.217 0.929 0.888 (multiplicity 2)
Ti: 0.231 0.114 0.055 (multiplicity 2)
Pt: 0.020 0.456 0.105 (multiplicity 2)
Pt: 0.027 0.287 0.256 (multiplicity 2)
Pt: 0.061 0.738 0.272 (multiplicity 2)
Pt: 0.065 0.140 0.425 (multiplicity 2)
Pt: 0.072 0.069 0.629 (multiplicity 2)
Pt: 0.109 0.366 0.892 (multiplicity 2)
Pt: 0.161 0.657 0.072 (multiplicity 2)
Pt: 0.166 0.869 0.682 (multiplicity 2)
Pt: 0.182 0.948 0.333 (multiplicity 2)
Pt: 0.185 0.278 0.686 (multiplicity 2)
Pt: 0.198 0.714 0.851 (multiplicity 2)
Pt: 0.217 0.328 0.096 (multiplicity 2)
Pt: 0.244 0.175 0.265 (multiplicity 2)
Pt: 0.295 0.078 0.736 (multiplicity 2)
Pt: 0.312 0.252 0.897 (multiplicity 2)
Pt: 0.315 0.775 0.236 (multiplicity 2)
Pt: 0.357 0.807 0.014 (multiplicity 2)
Pt: 0.373 0.998 0.187 (multiplicity 2)
Pt: 0.399 0.877 0.780 (multiplicity 2)
Pt: 0.420 0.056 0.934 (multiplicity 2)
Pt: 0.431 0.219 0.105 (multiplicity 2)

Principal peaks in the range 10 to 80 degrees two-theta, most intense first:
2theta  I/Imax
13.0  100
13.7  45
38.5  44
15.1  41
14.8  41
11.0  36
11.6  35
41.1  33

---

Computed XRD peak list of Na3C for Cu Kα (λ = 1.5418 Å), from a DFT-relaxed cell (PBE, the Materials Project).

Crystal structure
a b c (Å): 6.665 6.665 6.665
angles (deg): 90.00 90.00 90.00
Space group Fm-3m (No. 225)
One atom of each set of equivalent atoms:
Na: 0.000 0.000 0.000 (multiplicity 4)
Na: 0.250 0.250 0.250 (multiplicity 8)
C: 0.000 0.000 0.500 (multiplicity 4)

Principal peaks in the range 10 to 80 degrees two-theta, most intense first:
2theta  I/Imax
38.2  100
69.0  27
55.1  15
23.1  6
45.1  4
26.8  3
60.6  2
62.3  1

---

Computed XRD peak list of AlInBr4 for Cu Kα (λ = 1.5418 Å), from a DFT-relaxed cell (PBE, the Materials Project).

Crystal structure
a b c (Å): 9.176 7.556 13.320
angles (deg): 90.00 105.90 90.00
Space group P2/c (No. 13)
One atom of each set of equivalent atoms:
Al: 0.216 0.215 0.455 (multiplicity 4)
In: 0.000 0.360 0.750 (multiplicity 2)
In: 0.500 0.103 0.250 (multiplicity 2)
Br: 0.043 0.258 0.102 (multiplicity 4)
Br: 0.288 0.066 0.915 (multiplicity 4)
Br: 0.302 0.257 0.637 (multiplicity 4)
Br: 0.335 0.422 0.374 (multiplicity 4)

Principal peaks in the range 10 to 80 degrees two-theta, most intense first:
2theta  I/Imax
27.5  100
31.6  77
28.2  76
27.9  64
30.7  60
25.9  42
29.4  40
30.4  38

---

Computed XRD peak list of Ce3SbAs2 for Cu Kα (λ = 1.5418 Å), from a DFT-relaxed cell (PBE, the Materials Project).

Crystal structure
a b c (Å): 4.293 6.118 12.985
angles (deg): 90.00 90.00 90.00
Space group Immm (No. 71)
One atom of each set of equivalent atoms:
Ce: 0.000 0.000 0.000 (multiplicity 2)
Ce: 0.000 0.000 0.322 (multiplicity 4)
Sb: 0.000 0.500 0.000 (multiplicity 2)
As: 0.000 0.500 0.338 (multiplicity 4)

Principal peaks in the range 10 to 80 degrees two-theta, most intense first:
2theta  I/Imax
29.3  100
41.8  76
29.2  51
68.6  25
52.1  20
51.7  19
42.1  19
41.7  18

---

Computed XRD peak list of Dy3CuSiSe7 for Cu Kα (λ = 1.5418 Å), from a DFT-relaxed cell (PBE, the Materials Project).

Crystal structure
a b c (Å): 10.3427 10.3427 6.0171
angles (deg): 90.00 90.00 120.00
Space group P6_3 (No. 173)
One atom of each set of equivalent atoms:
Dy: 0.1318 0.3556 0.0000 (multiplicity 6)
Cu: 0.0000 0.0000 0.4492 (multiplicity 2)
Si: 0.3333 0.6667 0.5887 (multiplicity 2)
Se: 0.0987 0.2615 0.4703 (multiplicity 6)
Se: 0.1004 0.5796 0.7442 (multiplicity 6)
Se: 0.3333 0.6667 0.2109 (multiplicity 2)

Principal peaks in the range 10 to 80 degrees two-theta, most intense first:
2theta  I/Imax
34.7  100
36.2  95
31.4  79
40.1  76
30.3  74
39.2  66
24.8  64
36.0  64

---

Computed XRD peak list of CaHoRh2 for Cu Kα (λ = 1.5418 Å), from a DFT-relaxed cell (PBE, the Materials Project).

Crystal structure
a b c (Å): 6.824 6.824 6.824
angles (deg): 90.00 90.00 90.00
Space group Fm-3m (No. 225)
One atom of each set of equivalent atoms:
Ca: 0.000 0.000 0.000 (multiplicity 4)
Ho: 0.000 0.000 0.500 (multiplicity 4)
Rh: 0.250 0.250 0.250 (multiplicity 8)

Principal peaks in the range 10 to 80 degrees two-theta, most intense first:
2theta  I/Imax
37.3  100
67.2  34
22.6  20
53.7  17
44.0  11
79.4  11
59.0  5
71.9  4

---

Computed XRD peak list of GaPd for Cu Kα (λ = 1.5418 Å), from a DFT-relaxed cell (PBE, the Materials Project).

Crystal structure
a b c (Å): 4.963 4.963 4.963
angles (deg): 90.00 90.00 90.00
Space group P2_13 (No. 198)
One atom of each set of equivalent atoms:
Ga: 0.093 0.093 0.093 (multiplicity 4)
Pd: 0.108 0.608 0.892 (multiplicity 4)

Principal peaks in the range 10 to 80 degrees two-theta, most intense first:
2theta  I/Imax
40.6  100
44.7  52
71.1  33
62.0  11
31.2  11
36.2  9
76.8  8
25.4  7

---

Computed XRD peak list of Dy2Ga3Ni for Cu Kα (λ = 1.5418 Å), from a DFT-relaxed cell (PBE, the Materials Project).

Crystal structure
a b c (Å): 4.2911 4.2911 7.5116
angles (deg): 90.00 90.00 120.00
Space group P3m1 (No. 156)
One atom of each set of equivalent atoms:
Dy: 0.0000 0.0000 0.0000 (multiplicity 1)
Dy: 0.0000 0.0000 0.4624 (multiplicity 1)
Ga: 0.3333 0.6667 0.7681 (multiplicity 1)
Ga: 0.6667 0.3333 0.2409 (multiplicity 1)
Ga: 0.6667 0.3333 0.6874 (multiplicity 1)
Ni: 0.3333 0.6667 0.1974 (multiplicity 1)

Principal peaks in the range 10 to 80 degrees two-theta, most intense first:
2theta  I/Imax
33.9  100
42.1  51
55.1  25
71.7  22
23.9  19
66.1  16
77.0  8
43.6  8

---

Computed XRD peak list of Ga2O3 for Cu Kα (λ = 1.5418 Å), from a DFT-relaxed cell (PBE, the Materials Project).

Crystal structure
a b c (Å): 12.452 3.083 5.876
angles (deg): 90.00 103.68 90.00
Space group C2/m (No. 12)
One atom of each set of equivalent atoms:
Ga: 0.090 0.000 0.295 (multiplicity 4)
Ga: 0.158 0.500 0.814 (multiplicity 4)
O: 0.004 0.500 0.244 (multiplicity 4)
O: 0.164 0.000 0.609 (multiplicity 4)
O: 0.174 0.000 0.064 (multiplicity 4)

Principal peaks in the range 10 to 80 degrees two-theta, most intense first:
2theta  I/Imax
34.7  100
31.3  91
63.6  69
37.8  63
30.0  58
29.5  44
36.8  36
56.8  29

---

Computed XRD peak list of TiOF for Cu Kα (λ = 1.5418 Å), from a DFT-relaxed cell (PBE, the Materials Project).

Crystal structure
a b c (Å): 2.883 2.883 3.969
angles (deg): 90.00 90.00 90.00
Space group P4/mmm (No. 123)
One atom of each set of equivalent atoms:
Ti: 0.000 0.000 0.000 (multiplicity 1)
O: 0.500 0.500 0.000 (multiplicity 1)
F: 0.000 0.000 0.500 (multiplicity 1)

Principal peaks in the range 10 to 80 degrees two-theta, most intense first:
2theta  I/Imax
31.0  100
22.4  93
44.4  91
65.7  46
45.7  41
50.3  35
56.3  32
64.7  24

---

- Which formula does entry 11 have?
  Ga2O3